Starting from a structure optimized by DFT (GGA-PBE), the powder X-ray diffraction pattern of BaMg14Sb was simulated for Cu Ka.
Neutral-atom scattering factors, no anomalous dispersion.

Top 10 peaks for 15° ≤ 2θ ≤ 90°, by angle:
hkl 1 0 0, 2θ 15.54, intensity 49
hkl 1 0 2, 2θ 22.76, intensity 47
hkl 2 0 0, 2θ 31.38, intensity 30
hkl 1 1 2, 2θ 31.90, intensity 19
hkl 0 0 4, 2θ 33.41, intensity 25
hkl 2 0 2, 2θ 35.66, intensity 100
hkl 2 0 4, 2θ 46.49, intensity 20
hkl 2 0 6, 2θ 61.16, intensity 25
hkl 2 2 4, 2θ 66.67, intensity 19
hkl 4 0 2, 2θ 68.07, intensity 18

Structure:
abc: 6.5841 6.5841 10.7275
angles: 90.00 90.00 120.00
Space group P-6m2 (No. 187)
Asymmetric unit:
Ba 0.0000 0.0000 0.0000 x1
Mg 0.0122 0.5061 0.0000 x3
Mg 0.1722 0.3444 0.2633 x6
Mg 0.5039 0.0078 0.5000 x3
Mg 0.6667 0.3333 0.2427 x2
Sb 0.0000 0.0000 0.5000 x1